No. 1
This entry pairs a crystal structure of K2SnAu2S4 with its computed XRD peak list. Radiation: Cu Kα (weighted mean of Kα1 and Kα2). Structure: a crystal structure in the Materials Project, relaxed with PBE.
Intensities are scaled so that the largest is 100.

Crystal structure
Cell lengths 7.5074, 8.4675, 9.3551 Å; angles 71.62, 82.09, 67.75 degrees
Space group P-1 (No. 2)
One atom of each set of equivalent atoms:
K 0.0270 0.2528 0.0768
K 0.2176 0.1883 0.5790
Sn 0.3770 0.7190 0.1955
Au 0.2627 0.6682 0.5768
Au 0.4672 0.2876 0.1680
S 0.2161 0.5017 0.2542
S 0.2392 0.9090 0.3647
S 0.2755 0.4186 0.7773
S 0.2930 0.9142 0.9390

The 10 most intense peaks (10 to 80 degrees two-theta), in order of rising 2θ:
| 2θ/deg | intensity | index |
| --- | --- | --- |
| 11.79 | 40 | 0 1 0 |
| 12.74 | 85 | 1 0 0 |
| 13.94 | 72 | 1 1 0 |
| 21.20 | 39 | -1 1 1 |
| 23.70 | 49 | 0 2 0 |
| 24.02 | 53 | 1 0 -2 |
| 27.23 | 51 | 2 2 1 |
| 27.38 | 57 | 2 0 1 |
| 32.69 | 100 | 1 0 3 |
| 43.16 | 32 | -2 2 2 |

---

No. 2
This entry pairs a crystal structure of K3Sb2Au3 with its computed XRD peak list. Radiation: Cu Kα (weighted mean of Kα1 and Kα2). Structure: a crystal structure in the Materials Project, relaxed with PBE.
Intensities are scaled so that the largest is 100.

Crystal structure
Cell lengths 6.3635, 6.3635, 21.8097 Å; angles 90.00, 90.00, 120.00 degrees
Space group R-3m (No. 166, hexagonal axes)
One atom of each set of equivalent atoms:
K 0.0000 0.0000 0.0000
K 0.0000 0.0000 0.4191
Sb 0.0000 0.0000 0.2578
Au 0.0000 0.5000 0.5000

The 10 most intense peaks (10 to 80 degrees two-theta), in order of rising 2θ:
| 2θ/deg | intensity | index |
| --- | --- | --- |
| 12.17 | 100 | 0 0 3 |
| 18.04 | 60 | 0 1 2 |
| 30.67 | 20 | 1 1 3 |
| 32.76 | 46 | 0 2 1 |
| 33.55 | 21 | 2 0 2 |
| 36.54 | 60 | 0 2 4 |
| 37.57 | 35 | 1 1 6 |
| 38.65 | 22 | 2 0 5 |
| 46.88 | 28 | 2 0 8 |
| 57.97 | 20 | 2 2 0 |

---

No. 3
This entry pairs a crystal structure of KAuSe5 with its computed XRD peak list. Radiation: Cu Kα (weighted mean of Kα1 and Kα2). Structure: a crystal structure in the Materials Project, relaxed with PBE.
Intensities are scaled so that the largest is 100.

Crystal structure
Cell lengths 9.3394, 11.4192, 16.7271 Å; angles 90.00, 90.00, 90.00 degrees
Space group Ibam (No. 72)
One atom of each set of equivalent atoms:
K 0.0000 0.0000 0.0000
K 0.0000 0.5000 0.2500
Au 0.0000 0.1311 0.2500
Se 0.0819 0.3550 0.0000
Se 0.2004 0.1258 0.1550
Se 0.2278 0.3261 0.1152

The 10 most intense peaks (10 to 80 degrees two-theta), in order of rising 2θ:
| 2θ/deg | intensity | index |
| --- | --- | --- |
| 10.58 | 41 | 0 0 2 |
| 12.24 | 33 | 1 1 0 |
| 16.21 | 60 | 1 1 2 |
| 21.23 | 23 | 2 1 1 |
| 27.46 | 62 | 1 3 2 |
| 28.66 | 100 | 2 0 4 |
| 31.33 | 28 | 0 4 0 |
| 42.73 | 23 | 4 1 3 |
| 42.97 | 28 | 2 4 4 |
| 43.29 | 23 | 0 0 8 |

---

No. 4
This entry pairs a crystal structure of KSnAuSe3 with its computed XRD peak list. Radiation: Cu Kα (weighted mean of Kα1 and Kα2). Structure: a crystal structure in the Materials Project, relaxed with PBE.
Intensities are scaled so that the largest is 100.

Crystal structure
Cell lengths 8.5575, 8.5575, 20.2968 Å; angles 90.00, 90.00, 90.00 degrees
Space group P4cc (No. 103)
One atom of each set of equivalent atoms:
K 0.0000 0.0000 0.0000
K 0.0000 0.0000 0.2016
K 0.5000 0.5000 0.0498
K 0.5000 0.5000 0.3462
Sn 0.0000 0.5000 0.0125
Sn 0.0000 0.5000 0.1895
Au 0.0015 0.3170 0.3502
Se 0.1529 0.3334 0.1005
Se 0.1824 0.3223 0.7568
Se 0.1836 0.3234 0.4448

The 10 most intense peaks (10 to 80 degrees two-theta), in order of rising 2θ:
| 2θ/deg | intensity | index |
| --- | --- | --- |
| 14.64 | 100 | 1 1 0 |
| 24.86 | 31 | 2 1 2 |
| 26.76 | 65 | 2 1 3 |
| 29.23 | 37 | 2 1 4 |
| 30.84 | 25 | 2 2 2 |
| 32.61 | 23 | 3 0 2 |
| 33.78 | 58 | 2 0 6 |
| 34.51 | 34 | 2 2 4 |
| 35.40 | 20 | 0 0 8 |
| 42.78 | 20 | 3 1 6 |